Diffraction record for Tm8Sb2C3. The PXRD pattern is simulated, not measured: it uses a crystal structure in Alexandria, relaxed with PBE and a wavelength of 1.5418 Å.
Peak positions follow from Bragg's law for the DFT cell and can differ from measured ones.

Principal peaks in the range 15 to 90 degrees two-theta, most intense first:
2θ/deg	I_rel
35.69	100
33.35	93
29.03	71
35.47	58
33.04	53
50.49	47
37.84	46
64.79	38
28.71	31
24.96	26

Cell and atoms:
a = 8.252 Å, b = 8.252 Å, c = 6.285 Å
α = 104.78°, β = 104.78°, γ = 51.38°
Atoms (fractional coordinates):
Tm  0.091  0.091  0.396
Tm  0.150  0.668  0.111
Tm  0.332  0.850  0.889
Tm  0.408  0.408  0.590
Tm  0.592  0.592  0.410
Tm  0.668  0.150  0.111
Tm  0.850  0.332  0.889
Tm  0.909  0.909  0.604
Sb  0.253  0.253  0.821
Sb  0.747  0.747  0.179
C  0.000  0.000  0.000
C  0.253  0.747  0.500
C  0.747  0.253  0.500